# 1
Simulated powder diffractogram of Mo2WSe2S4 for Cu Ka, from the PBE geometry in the Materials Project.

Main lines, low angle first (5° ≤ 2θ ≤ 70°):
d [Å]	intensity	index
15.101	100	0 0 2
7.551	48	0 0 4
6.041	10	0 0 5
2.800	9	1 0 0
2.625	7	0 1 4
2.447	16	1 0 6
2.349	14	0 1 7
2.053	8	1 0 10
1.960	13	0 1 11
1.616	8	1 1 0

Structure:
Unit cell a=3.2329 b=3.2329 c=30.2029 alpha=90.00 beta=90.00 gamma=120.00
Space group P3m1 (No. 156)
Unique sites:
Mo  0.0000  0.0000  0.0000 [1 per cell]
Mo  0.3333  0.6667  0.2354 [1 per cell]
W  0.0000  0.0000  0.4670 [1 per cell]
Se  0.3333  0.6667  0.0565 [1 per cell]
Se  0.3333  0.6667  0.9434 [1 per cell]
S  0.0000  0.0000  0.1840 [1 per cell]
S  0.0000  0.0000  0.2868 [1 per cell]
S  0.3333  0.6667  0.4154 [1 per cell]
S  0.3333  0.6667  0.5186 [1 per cell]

=====

# 2
Simulated powder diffractogram of FeSb6Pd for Cu Ka, from the PBE geometry in the Materials Project.

Main lines, low angle first (5° ≤ 2θ ≤ 70°):
d [Å]	intensity	index
2.960	28	2 0 -3
2.946	100	4 0 -3
2.938	64	1 3 -1
2.494	29	2 2 1
2.483	33	3 3 -2
2.084	20	4 2 -4
2.078	30	6 0 -2
1.896	22	6 2 -2
1.822	23	5 3 -4
1.593	19	8 0 -3

Structure:
Unit cell a=13.129 b=9.285 c=9.331 alpha=90.00 beta=134.71 gamma=90.00
Space group C2/m (No. 12)
Unique sites:
Fe  0.250  0.250  0.000 [4 per cell]
Sb  0.010  0.157  0.848 [8 per cell]
Sb  0.152  0.500  0.303 [4 per cell]
Sb  0.156  0.337  0.667 [8 per cell]
Sb  0.172  0.500  0.011 [4 per cell]
Pd  0.250  0.250  0.500 [4 per cell]